Simulated powder diffractogram of Rb3GaP6H6O18 for λ = 1.5418 Å (Cu Kα), from a crystal structure in the Materials Project, relaxed with PBE.

Most intense lines, 2θ from 10° to 80°, in order of rising 2θ:
two_theta	Rel. int.
11.01	199
12.46	830
22.13	382
22.44	288
25.06	526
25.48	1000
27.83	606
33.68	316
35.84	236
40.67	229
44.40	250
56.66	202

Atomic structure:
a = 9.676 Å, b = 9.676 Å, c = 9.676 Å
α = 112.23°, β = 112.23°, γ = 112.23°
Atoms (fractional coordinates):
1 Rb 0.000 0.500 0.500
2 Rb 0.500 0.000 0.500
3 Rb 0.500 0.500 0.000
4 Ga 0.500 0.500 0.500
5 P 0.143 0.167 0.424
6 P 0.167 0.424 0.143
7 P 0.424 0.143 0.167
8 P 0.576 0.857 0.833
9 P 0.833 0.576 0.857
10 P 0.857 0.833 0.576
11 H 0.027 0.251 0.089
12 H 0.089 0.027 0.251
13 H 0.251 0.089 0.027
14 H 0.749 0.911 0.973
15 H 0.911 0.973 0.749
16 H 0.973 0.749 0.911
17 O 0.033 0.862 0.599
18 O 0.138 0.401 0.967
19 O 0.155 0.577 0.250
20 O 0.250 0.155 0.577
21 O 0.267 0.360 0.471
22 O 0.360 0.471 0.267
23 O 0.401 0.967 0.138
24 O 0.423 0.750 0.845
25 O 0.471 0.267 0.360
26 O 0.529 0.733 0.640
27 O 0.577 0.250 0.155
28 O 0.599 0.033 0.862
29 O 0.640 0.529 0.733
30 O 0.733 0.640 0.529
31 O 0.750 0.845 0.423
32 O 0.845 0.423 0.750
33 O 0.862 0.599 0.033
34 O 0.967 0.138 0.401